1.
The following is a computed PXRD pattern of Na3CoPCO7. It was derived from a DFT-relaxed cell (GGA+U, the Materials Project), using Cu Kα X-rays.
Peak positions follow from Bragg's law for the DFT cell and can differ from measured ones.

Principal peaks in the range 2θ from 5° to 70°, most intense first:
| 2θ/deg | I (rel.) |
| --- | --- |
| 16.63 | 100 |
| 33.43 | 98 |
| 26.95 | 90 |
| 33.61 | 82 |
| 34.33 | 61 |
| 48.39 | 43 |
| 55.56 | 34 |
| 19.81 | 27 |

Structure:
abc: 6.6159 10.4055 10.4528
angles: 61.51 89.77 89.89
Fractional positions:
1 Na 0.0000 0.0000 0.0000
2 Na 0.0002 0.4973 0.5018
3 Na 0.0069 0.9947 0.4988
4 Na 0.0080 0.4963 0.9922
5 Na 0.2388 0.6356 0.1984
6 Na 0.2409 0.1357 0.6976
7 Na 0.5020 0.9995 0.9932
8 Na 0.5026 0.4973 0.4935
9 Na 0.5039 0.4949 0.0071
10 Na 0.5065 0.9977 0.5073
11 Na 0.7349 0.3620 0.8017
12 Na 0.7362 0.8610 0.3025
13 Co 0.2499 0.1189 0.1682
14 Co 0.2591 0.6260 0.6599
15 Co 0.7623 0.8659 0.8376
16 Co 0.7629 0.3674 0.3357
17 P 0.2540 0.8139 0.8360
18 P 0.2546 0.3138 0.3344
19 P 0.7516 0.1789 0.1635
20 P 0.7532 0.6796 0.6627
21 C 0.2539 0.8264 0.3287
22 C 0.2556 0.3279 0.8244
23 C 0.7517 0.6697 0.1696
24 C 0.7530 0.1696 0.6700
25 O 0.0664 0.9063 0.8384
26 O 0.0668 0.4068 0.3356
27 O 0.2450 0.8016 0.6930
28 O 0.2491 0.3012 0.1916
29 O 0.2485 0.6876 0.4249
30 O 0.2507 0.8653 0.1900
31 O 0.2530 0.1628 0.4708
32 O 0.2537 0.1895 0.9220
33 O 0.2541 0.6629 0.9721
34 O 0.2557 0.3644 0.6862
35 O 0.2581 0.4289 0.8628
36 O 0.2636 0.9257 0.3691
37 O 0.4411 0.4076 0.3308
38 O 0.4410 0.9078 0.8311
39 O 0.5652 0.0881 0.1591
40 O 0.5666 0.5893 0.6570
41 O 0.7443 0.1884 0.3079
42 O 0.7440 0.6883 0.8076
43 O 0.7462 0.8073 0.0684
44 O 0.7479 0.3068 0.5680
45 O 0.7523 0.5662 0.1349
46 O 0.7539 0.0653 0.6364
47 O 0.7555 0.8323 0.5290
48 O 0.7566 0.3308 0.0291
49 O 0.7571 0.6383 0.3062
50 O 0.7577 0.1392 0.8063
51 O 0.9400 0.0841 0.1680
52 O 0.9406 0.5864 0.6654

---

2.
The following is a computed PXRD pattern of Li4Fe2Ni3Sb3O16. It was derived from a DFT-relaxed cell (GGA+U, the Materials Project), using Cu Kα X-rays.
Peak positions follow from Bragg's law for the DFT cell and can differ from measured ones.

Principal peaks in the range 2θ from 5° to 70°, most intense first:
| 2θ/deg | I (rel.) |
| --- | --- |
| 18.32 | 100 |
| 35.58 | 51 |
| 18.87 | 33 |
| 35.37 | 22 |
| 45.07 | 22 |
| 35.16 | 21 |
| 19.02 | 21 |
| 19.42 | 20 |

Structure:
abc: 6.0503 6.0804 9.6938
angles: 91.46 90.51 119.72
Fractional positions:
1 Li 0.0000 0.0000 0.0000
2 Li 0.0121 0.0246 0.5187
3 Li 0.3444 0.6954 0.4171
4 Li 0.6816 0.3749 0.8972
5 Fe 0.3677 0.7455 0.9879
6 Fe 0.7019 0.3956 0.5203
7 Ni 0.1897 0.8744 0.7268
8 Ni 0.6835 0.8791 0.7276
9 Ni 0.8484 0.6999 0.2298
10 Sb 0.1943 0.3871 0.7298
11 Sb 0.3559 0.2089 0.2303
12 Sb 0.8502 0.2086 0.2291
13 O 0.0226 0.0459 0.3318
14 O 0.0387 0.0505 0.8188
15 O 0.0531 0.5500 0.8607
16 O 0.1731 0.3510 0.1165
17 O 0.1896 0.8888 0.1147
18 O 0.3388 0.7069 0.6226
19 O 0.3556 0.2296 0.6084
20 O 0.4831 0.0088 0.8497
21 O 0.5000 0.5633 0.8602
22 O 0.5297 0.5132 0.3541
23 O 0.5345 0.0673 0.3503
24 O 0.6764 0.3602 0.1152
25 O 0.6965 0.8922 0.1111
26 O 0.8676 0.2167 0.6110
27 O 0.8762 0.7201 0.6137
28 O 0.9814 0.5106 0.3535

---

3.
The following is a computed PXRD pattern of Fe5SiO8. It was derived from a DFT-relaxed cell (GGA+U, the Materials Project), using Cu Kα X-rays.
Peak positions follow from Bragg's law for the DFT cell and can differ from measured ones.

Principal peaks in the range 2θ from 5° to 70°, most intense first:
| 2θ/deg | I (rel.) |
| --- | --- |
| 34.90 | 100 |
| 32.56 | 69 |
| 42.45 | 58 |
| 32.41 | 49 |
| 34.99 | 42 |
| 61.59 | 42 |
| 61.72 | 42 |
| 42.60 | 31 |

Structure:
abc: 5.9881 8.5141 12.0811
angles: 90.00 90.22 90.00
Fractional positions:
1 Fe 0.0022 0.0011 0.1244
2 Fe 0.0022 0.4989 0.6244
3 Fe 0.2473 0.7484 0.2472
4 Fe 0.2473 0.7516 0.7472
5 Fe 0.2495 0.7193 0.9989
6 Fe 0.2495 0.7807 0.4989
7 Fe 0.2497 0.1296 0.3742
8 Fe 0.2497 0.3704 0.8742
9 Fe 0.4930 0.5042 0.6241
10 Fe 0.4930 0.9958 0.1241
11 Fe 0.5070 0.0042 0.8759
12 Fe 0.5070 0.4958 0.3759
13 Fe 0.7503 0.6296 0.1258
14 Fe 0.7503 0.8704 0.6258
15 Fe 0.7505 0.2193 0.5011
16 Fe 0.7505 0.2807 0.0011
17 Fe 0.7527 0.2484 0.2528
18 Fe 0.7527 0.2516 0.7528
19 Fe 0.9978 0.5011 0.3756
20 Fe 0.9978 0.9989 0.8756
21 Si 0.2537 0.1346 0.6346
22 Si 0.2537 0.3654 0.1346
23 Si 0.7463 0.6346 0.8654
24 Si 0.7463 0.8654 0.3654
25 O 0.0083 0.7442 0.6214
26 O 0.0083 0.7558 0.1214
27 O 0.0211 0.2433 0.6316
28 O 0.0211 0.2567 0.1316
29 O 0.2542 0.0290 0.5192
30 O 0.2542 0.4710 0.0192
31 O 0.2604 0.0147 0.7444
32 O 0.2604 0.4853 0.2444
33 O 0.2605 0.5006 0.7447
34 O 0.2605 0.9994 0.2447
35 O 0.2706 0.5218 0.4925
36 O 0.2706 0.9782 0.9925
37 O 0.4827 0.2490 0.6303
38 O 0.4827 0.2510 0.1303
39 O 0.4937 0.7400 0.6238
40 O 0.4937 0.7600 0.1238
41 O 0.5063 0.2400 0.8762
42 O 0.5063 0.2600 0.3762
43 O 0.5173 0.7490 0.8697
44 O 0.5173 0.7510 0.3697
45 O 0.7294 0.0218 0.0075
46 O 0.7294 0.4782 0.5075
47 O 0.7395 0.0006 0.7553
48 O 0.7395 0.4994 0.2553
49 O 0.7396 0.5147 0.7556
50 O 0.7396 0.9853 0.2556
51 O 0.7458 0.5290 0.9808
52 O 0.7458 0.9710 0.4808
53 O 0.9789 0.7433 0.8684
54 O 0.9789 0.7567 0.3684
55 O 0.9917 0.2442 0.8786
56 O 0.9917 0.2558 0.3786

---

4.
The following is a computed PXRD pattern of Mn2O3. It was derived from a DFT-relaxed cell (GGA+U, the Materials Project), using Cu Kα X-rays.
Peak positions follow from Bragg's law for the DFT cell and can differ from measured ones.

Principal peaks in the range 2θ from 5° to 70°, most intense first:
| 2θ/deg | I (rel.) |
| --- | --- |
| 32.29 | 100 |
| 29.77 | 48 |
| 60.19 | 41 |
| 36.02 | 36 |
| 61.06 | 35 |
| 59.60 | 33 |
| 40.19 | 26 |
| 27.42 | 24 |

Structure:
abc: 5.3043 8.8707 9.5672
angles: 90.00 90.00 90.00
Fractional positions:
1 Mn 0.1650 0.0178 0.0000
2 Mn 0.1712 0.6619 0.0085
3 Mn 0.1753 0.3397 0.7801
4 Mn 0.1852 0.3481 0.1912
5 Mn 0.3148 0.8481 0.6912
6 Mn 0.3247 0.8397 0.2801
7 Mn 0.3288 0.1619 0.5085
8 Mn 0.3350 0.5178 0.5000
9 Mn 0.6650 0.4822 0.0000
10 Mn 0.6712 0.8381 0.0085
11 Mn 0.6753 0.1603 0.7801
12 Mn 0.6852 0.1519 0.1912
13 Mn 0.8148 0.6519 0.6912
14 Mn 0.8247 0.6603 0.2801
15 Mn 0.8288 0.3381 0.5085
16 Mn 0.8350 0.9822 0.5000
17 O 0.0278 0.8197 0.1327
18 O 0.0322 0.4808 0.6314
19 O 0.0327 0.1601 0.1292
20 O 0.1630 0.6689 0.3712
21 O 0.1660 0.0011 0.4089
22 O 0.1808 0.3370 0.4015
23 O 0.3192 0.8370 0.9015
24 O 0.3340 0.5011 0.9089
25 O 0.3370 0.1689 0.8712
26 O 0.4673 0.6601 0.6292
27 O 0.4678 0.9808 0.1314
28 O 0.4722 0.3197 0.6327
29 O 0.5278 0.6803 0.1327
30 O 0.5322 0.0192 0.6314
31 O 0.5327 0.3399 0.1292
32 O 0.6630 0.8311 0.3712
33 O 0.6660 0.4989 0.4089
34 O 0.6808 0.1630 0.4015
35 O 0.8192 0.6630 0.9015
36 O 0.8340 0.9989 0.9089
37 O 0.8370 0.3311 0.8712
38 O 0.9673 0.8399 0.6292
39 O 0.9678 0.5192 0.1314
40 O 0.9722 0.1803 0.6327

---

5.
The following is a computed PXRD pattern of K3NaCr2O8. It was derived from a DFT-relaxed cell (GGA+U, the Materials Project), using Cu Kα X-rays.
Peak positions follow from Bragg's law for the DFT cell and can differ from measured ones.

Principal peaks in the range 2θ from 5° to 70°, most intense first:
| 2θ/deg | I (rel.) |
| --- | --- |
| 30.00 | 100 |
| 29.10 | 60 |
| 42.28 | 49 |
| 20.78 | 37 |
| 62.34 | 19 |
| 52.71 | 17 |
| 53.26 | 16 |
| 23.30 | 16 |

Structure:
abc: 5.9578 5.9578 7.6349
angles: 90.00 90.00 120.00
Fractional positions:
1 K 0.0000 0.0000 0.0000
2 K 0.3333 0.6667 0.3322
3 K 0.6667 0.3333 0.6678
4 Na 0.0000 0.0000 0.5000
5 Cr 0.3333 0.6667 0.7735
6 Cr 0.6667 0.3333 0.2265
7 O 0.1813 0.3626 0.6969
8 O 0.1813 0.8187 0.6969
9 O 0.3333 0.6667 0.9891
10 O 0.3626 0.1813 0.3031
11 O 0.6374 0.8187 0.6969
12 O 0.6667 0.3333 0.0109
13 O 0.8187 0.1813 0.3031
14 O 0.8187 0.6374 0.3031

---

6.
The following is a computed PXRD pattern of Li7Mn17O32. It was derived from a DFT-relaxed cell (GGA+U, the Materials Project), using Cu Kα X-rays.
Peak positions follow from Bragg's law for the DFT cell and can differ from measured ones.

Principal peaks in the range 2θ from 5° to 70°, most intense first:
| 2θ/deg | I (rel.) |
| --- | --- |
| 18.16 | 100 |
| 35.70 | 29 |
| 34.06 | 24 |
| 40.85 | 23 |
| 61.27 | 21 |
| 43.60 | 19 |
| 43.76 | 19 |
| 63.47 | 15 |

Structure:
abc: 10.2689 10.2689 8.2756
angles: 113.65 113.65 107.93
Fractional positions:
1 Li 0.0000 0.0000 0.0000
2 Li 0.1269 0.3735 0.9983
3 Li 0.3721 0.1206 0.4964
4 Li 0.5027 0.4973 0.0000
5 Li 0.6265 0.8731 0.0017
6 Li 0.7534 0.2466 0.5000
7 Li 0.8794 0.6279 0.5036
8 Mn 0.0653 0.1877 0.5011
9 Mn 0.0671 0.6915 0.0022
10 Mn 0.1826 0.0580 0.7470
11 Mn 0.1904 0.5596 0.7532
12 Mn 0.2535 0.7465 0.5000
13 Mn 0.3085 0.9329 0.9978
14 Mn 0.3191 0.4363 0.5046
15 Mn 0.4329 0.3055 0.2448
16 Mn 0.4404 0.8096 0.2468
17 Mn 0.5623 0.1822 0.9957
18 Mn 0.5637 0.6809 0.4954
19 Mn 0.6907 0.0623 0.7515
20 Mn 0.6945 0.5671 0.7552
21 Mn 0.8123 0.9347 0.4989
22 Mn 0.8178 0.4377 0.0043
23 Mn 0.9377 0.3093 0.2485
24 Mn 0.9420 0.8174 0.2530
25 O 0.0607 0.6989 0.2365
26 O 0.0704 0.1743 0.7353
27 O 0.0874 0.2198 0.2872
28 O 0.0908 0.7014 0.7842
29 O 0.1622 0.0463 0.4937
30 O 0.1827 0.5747 0.9909
31 O 0.1900 0.5445 0.5061
32 O 0.1907 0.0485 0.9772
33 O 0.2986 0.9092 0.2158
34 O 0.3011 0.9393 0.7635
35 O 0.3095 0.4423 0.7330
36 O 0.3418 0.4524 0.2854
37 O 0.4152 0.2735 0.9805
38 O 0.4253 0.8173 0.0091
39 O 0.4347 0.3220 0.4896
40 O 0.4555 0.8100 0.4939
41 O 0.5261 0.1614 0.2090
42 O 0.5476 0.6582 0.7146
43 O 0.5577 0.6905 0.2670
44 O 0.5742 0.1819 0.7661
45 O 0.6780 0.5653 0.5104
46 O 0.6909 0.0471 0.5106
47 O 0.6928 0.0765 0.9954
48 O 0.7265 0.5848 0.0195
49 O 0.7802 0.9126 0.7128
50 O 0.8181 0.4258 0.2339
51 O 0.8257 0.9296 0.2647
52 O 0.8386 0.4739 0.7910
53 O 0.9235 0.3072 0.0046
54 O 0.9515 0.8093 0.0228
55 O 0.9529 0.3091 0.4894
56 O 0.9537 0.8378 0.5063

---

7.
The following is a computed PXRD pattern of MgV4O10. It was derived from a DFT-relaxed cell (GGA+U, the Materials Project), using Cu Kα X-rays.
Peak positions follow from Bragg's law for the DFT cell and can differ from measured ones.

Principal peaks in the range 2θ from 5° to 70°, most intense first:
| 2θ/deg | I (rel.) |
| --- | --- |
| 22.31 | 100 |
| 26.68 | 55 |
| 24.77 | 48 |
| 25.37 | 42 |
| 34.97 | 33 |
| 18.66 | 31 |
| 34.03 | 30 |
| 34.38 | 26 |

Structure:
abc: 5.0676 5.3685 7.8594
angles: 102.05 107.68 100.21
Fractional positions:
1 Mg 0.0000 0.0000 0.0000
2 V 0.1610 0.5941 0.2054
3 V 0.3346 0.7755 0.6840
4 V 0.6654 0.2245 0.3160
5 V 0.8390 0.4059 0.7946
6 O 0.0570 0.7475 0.7804
7 O 0.1416 0.3513 0.9527
8 O 0.1926 0.7706 0.4518
9 O 0.3878 0.9406 0.1852
10 O 0.4790 0.5126 0.6988
11 O 0.5210 0.4874 0.3012
12 O 0.6122 0.0594 0.8148
13 O 0.8074 0.2294 0.5482
14 O 0.8584 0.6487 0.0473
15 O 0.9430 0.2525 0.2196

---

8.
The following is a computed PXRD pattern of LiVF4. It was derived from a DFT-relaxed cell (GGA+U, the Materials Project), using Cu Kα X-rays.
Peak positions follow from Bragg's law for the DFT cell and can differ from measured ones.

Principal peaks in the range 2θ from 5° to 70°, most intense first:
| 2θ/deg | I (rel.) |
| --- | --- |
| 26.54 | 100 |
| 17.24 | 92 |
| 25.34 | 67 |
| 39.40 | 39 |
| 51.98 | 36 |
| 39.85 | 35 |
| 54.65 | 28 |
| 66.24 | 23 |

Structure:
abc: 5.6202 4.7591 5.6998
angles: 90.00 113.80 90.00
Fractional positions:
1 Li 0.0000 0.0000 0.0000
2 Li 0.0000 0.5000 0.5000
3 V 0.5000 0.0000 0.5000
4 V 0.5000 0.5000 0.0000
5 F 0.1689 0.1860 0.3604
6 F 0.1689 0.3140 0.8604
7 F 0.3582 0.7082 0.6557
8 F 0.3582 0.7918 0.1557
9 F 0.6418 0.2082 0.8443
10 F 0.6418 0.2918 0.3443
11 F 0.8311 0.6860 0.1396
12 F 0.8311 0.8140 0.6396